Entry 1:
Theoretical powder X-ray diffraction pattern
Compound: LiTl2AuCl6
Radiation: Cu Kα (weighted mean of Kα1 and Kα2)
Structure: a crystal structure in Alexandria, relaxed with GGA-PBE

Main lines, by angle (10 to 80 degrees two-theta):
22.26 deg, d 3.994, intensity 61; 22.96 deg, d 3.874, intensity 88; 24.96 deg, d 3.568, intensity 100; 25.68 deg, d 3.468, intensity 31; 30.10 deg, d 2.969, intensity 33; 35.13 deg, d 2.555, intensity 31

Structure:
```
data_LiTl2AuCl6
_symmetry_space_group_name_H-M 'P -1'
_symmetry_Int_Tables_number 2
_symmetry_space_group_name_Hall '-P 1'
_cell_length_a 6.9666
_cell_length_b 7.1832
_cell_length_c 7.2718
_cell_angle_alpha 113.84
_cell_angle_beta 113.19
_cell_angle_gamma 92.51
loop_
_atom_site_label
_atom_site_type_symbol
_atom_site_fract_x
_atom_site_fract_y
_atom_site_fract_z
_atom_site_occupancy
Li1 Li 0.0000 0.0000 0.0000 1
Tl1 Tl 0.2122 0.7516 0.4823 1
Au1 Au 0.5000 0.5000 0.0000 1
Cl1 Cl 0.1566 0.1286 0.3865 1
Cl2 Cl 0.2032 0.6442 0.9174 1
Cl3 Cl 0.3535 0.3244 0.1416 1
```

***

Entry 2:
Theoretical powder X-ray diffraction pattern
Compound: MgAu2Cl
Radiation: Cu Kα (weighted mean of Kα1 and Kα2)
Structure: a crystal structure in Alexandria, relaxed with GGA-PBE

Main lines, by angle (10 to 80 degrees two-theta):
12.90 deg, d 6.861, intensity 100; 25.97 deg, d 3.431, intensity 28; 32.83 deg, d 2.728, intensity 31; 35.14 deg, d 2.554, intensity 21; 35.67 deg, d 2.517, intensity 21; 41.87 deg, d 2.158, intensity 20

Structure:
```
data_MgAu2Cl
_symmetry_space_group_name_H-M 'P 1 m 1'
_symmetry_Int_Tables_number 6
_symmetry_space_group_name_Hall 'P -2y'
_cell_length_a 4.1927
_cell_length_b 3.5939
_cell_length_c 6.8650
_cell_angle_alpha 90.00
_cell_angle_beta 91.87
_cell_angle_gamma 90.00
loop_
_atom_site_label
_atom_site_type_symbol
_atom_site_fract_x
_atom_site_fract_y
_atom_site_fract_z
_atom_site_occupancy
Mg1 Mg 0.0000 0.0000 0.0000 1
Au1 Au 0.0150 0.5000 0.2972 1
Au2 Au 0.5138 0.0000 0.2729 1
Cl1 Cl 0.9879 0.5000 0.7675 1
```

***

Entry 3:
Theoretical powder X-ray diffraction pattern
Compound: MgAu4Se4Cl4O12
Radiation: Cu Kα (weighted mean of Kα1 and Kα2)
Structure: a crystal structure in Alexandria, relaxed with GGA-PBE

Main lines, by angle (10 to 80 degrees two-theta):
12.03 deg, d 7.357, intensity 62; 17.06 deg, d 5.199, intensity 60; 19.88 deg, d 4.467, intensity 100; 22.00 deg, d 4.039, intensity 39; 27.74 deg, d 3.216, intensity 43; 31.23 deg, d 2.864, intensity 42

Structure:
```
data_MgAu4Se4Cl4O12
_symmetry_space_group_name_H-M 'P 1'
_symmetry_Int_Tables_number 1
_symmetry_space_group_name_Hall 'P 1'
_cell_length_a 4.4966
_cell_length_b 10.6429
_cell_length_c 11.3976
_cell_angle_alpha 83.94
_cell_angle_beta 84.75
_cell_angle_gamma 85.55
loop_
_atom_site_label
_atom_site_type_symbol
_atom_site_fract_x
_atom_site_fract_y
_atom_site_fract_z
_atom_site_occupancy
Mg1 Mg 0.0000 0.0000 0.0000 1
Au1 Au 0.7560 0.3439 0.8206 1
Au2 Au 0.7814 0.7878 0.1054 1
Au3 Au 0.8118 0.9927 0.4614 1
Au4 Au 0.8266 0.4201 0.3182 1
Se1 Se 0.0085 0.7029 0.3713 1
Se2 Se 0.0752 0.2547 0.5583 1
Se3 Se 0.5476 0.4983 0.0489 1
Se4 Se 0.6401 0.1669 0.2150 1
Cl1 Cl 0.0990 0.1632 0.8417 1
Cl2 Cl 0.1153 0.8970 0.6009 1
Cl3 Cl 0.4275 0.5163 0.7867 1
Cl4 Cl 0.5153 0.8994 0.9521 1
O1 O 0.1076 0.7290 0.2210 1
O2 O 0.1411 0.3648 0.4367 1
O3 O 0.5020 0.4520 0.2040 1
O4 O 0.5177 0.0782 0.3454 1
O5 O 0.6568 0.3411 0.9978 1
O6 O 0.7273 0.5948 0.3788 1
O7 O 0.7375 0.8288 0.3944 1
O8 O 0.7841 0.1649 0.5282 1
O9 O 0.8365 0.3578 0.6401 1
O10 O 0.8691 0.5676 0.0263 1
O11 O 0.8925 0.0649 0.1471 1
O12 O 0.9296 0.2503 0.2589 1
```

***

Entry 4:
Theoretical powder X-ray diffraction pattern
Compound: MgAu4Se4Cl4O12
Radiation: Cu Kα (weighted mean of Kα1 and Kα2)
Structure: a crystal structure in Alexandria, relaxed with GGA-PBE

Main lines, by angle (10 to 80 degrees two-theta):
13.18 deg, d 6.717, intensity 40; 16.71 deg, d 5.305, intensity 100; 23.53 deg, d 3.781, intensity 32; 24.77 deg, d 3.594, intensity 27; 27.56 deg, d 3.237, intensity 29; 29.82 deg, d 2.996, intensity 30

Structure:
```
data_MgAu4Se4Cl4O12
_symmetry_space_group_name_H-M 'P 1'
_symmetry_Int_Tables_number 1
_symmetry_space_group_name_Hall 'P 1'
_cell_length_a 5.4108
_cell_length_b 9.8906
_cell_length_c 11.1435
_cell_angle_alpha 98.23
_cell_angle_beta 96.94
_cell_angle_gamma 97.83
loop_
_atom_site_label
_atom_site_type_symbol
_atom_site_fract_x
_atom_site_fract_y
_atom_site_fract_z
_atom_site_occupancy
Mg1 Mg 0.0000 0.0000 0.0000 1
Au1 Au 0.1144 0.0186 0.7099 1
Au2 Au 0.1379 0.6128 0.0614 1
Au3 Au 0.1688 0.4524 0.4260 1
Au4 Au 0.2122 0.0352 0.2433 1
Se1 Se 0.0542 0.7490 0.3346 1
Se2 Se 0.3127 0.3361 0.1495 1
Se3 Se 0.3902 0.8274 0.8917 1
Se4 Se 0.8360 0.1833 0.4986 1
Cl1 Cl 0.3805 0.8851 0.6212 1
Cl2 Cl 0.3828 0.5274 0.9206 1
Cl3 Cl 0.8678 0.1509 0.8216 1
Cl4 Cl 0.9204 0.5416 0.5591 1
O1 O 0.0607 0.4261 0.1167 1
O2 O 0.1112 0.1743 0.1295 1
O3 O 0.1469 0.2745 0.4944 1
O4 O 0.1773 0.8001 0.0016 1
O5 O 0.2619 0.6320 0.3622 1
O6 O 0.2621 0.9870 0.8823 1
O7 O 0.3024 0.8717 0.3205 1
O8 O 0.3982 0.3739 0.3052 1
O9 O 0.6636 0.8916 0.9802 1
O10 O 0.7311 0.1173 0.3537 1
O11 O 0.9114 0.6839 0.1824 1
O12 O 0.9621 0.0338 0.5406 1
```

***

Entry 5:
Theoretical powder X-ray diffraction pattern
Compound: MgAu4Se4Cl4O12
Radiation: Cu Kα (weighted mean of Kα1 and Kα2)
Structure: a crystal structure in Alexandria, relaxed with GGA-PBE

Main lines, by angle (10 to 80 degrees two-theta):
17.66 deg, d 5.022, intensity 32; 17.96 deg, d 4.939, intensity 32; 18.95 deg, d 4.682, intensity 100; 19.29 deg, d 4.601, intensity 30; 26.84 deg, d 3.322, intensity 28; 27.24 deg, d 3.273, intensity 71

Structure:
```
data_MgAu4Se4Cl4O12
_symmetry_space_group_name_H-M 'P 1'
_symmetry_Int_Tables_number 1
_symmetry_space_group_name_Hall 'P 1'
_cell_length_a 4.7417
_cell_length_b 9.9523
_cell_length_c 11.1418
_cell_angle_alpha 95.31
_cell_angle_beta 97.89
_cell_angle_gamma 93.80
loop_
_atom_site_label
_atom_site_type_symbol
_atom_site_fract_x
_atom_site_fract_y
_atom_site_fract_z
_atom_site_occupancy
Mg1 Mg 0.0000 0.0000 0.0000 1
Au1 Au 0.0602 0.1268 0.2357 1
Au2 Au 0.0739 0.5486 0.4542 1
Au3 Au 0.1309 0.9683 0.6258 1
Au4 Au 0.1323 0.5672 0.9598 1
Se1 Se 0.2445 0.8373 0.3482 1
Se2 Se 0.3646 0.4225 0.2061 1
Se3 Se 0.8576 0.6859 0.7049 1
Se4 Se 0.8734 0.2582 0.5393 1
Cl1 Cl 0.3965 0.3862 0.9273 1
Cl2 Cl 0.5027 0.0412 0.0081 1
Cl3 Cl 0.8590 0.7535 0.9964 1
Cl4 Cl 0.8665 0.0456 0.7774 1
O1 O 0.0292 0.5577 0.7756 1
O2 O 0.0560 0.3150 0.1740 1
O3 O 0.1547 0.1433 0.5513 1
O4 O 0.1553 0.3907 0.5491 1
O5 O 0.1720 0.7875 0.6993 1
O6 O 0.2305 0.5671 0.1415 1
O7 O 0.3773 0.9035 0.4987 1
O8 O 0.3857 0.4963 0.3550 1
O9 O 0.7366 0.2354 0.3930 1
O10 O 0.7716 0.6026 0.5601 1
O11 O 0.9783 0.7130 0.3646 1
O12 O 0.9883 0.9386 0.2892 1
```

***

Entry 6:
Theoretical powder X-ray diffraction pattern
Compound: MgAu4Se4Cl4O12
Radiation: Cu Kα (weighted mean of Kα1 and Kα2)
Structure: a crystal structure in Alexandria, relaxed with GGA-PBE

Main lines, by angle (10 to 80 degrees two-theta):
17.91 deg, d 4.953, intensity 39; 19.99 deg, d 4.441, intensity 100; 27.49 deg, d 3.245, intensity 36; 28.76 deg, d 3.104, intensity 40; 29.51 deg, d 3.027, intensity 52; 30.59 deg, d 2.923, intensity 35

Structure:
```
data_MgAu4Se4Cl4O12
_symmetry_space_group_name_H-M 'P 1'
_symmetry_Int_Tables_number 1
_symmetry_space_group_name_Hall 'P 1'
_cell_length_a 4.5269
_cell_length_b 10.0723
_cell_length_c 11.2918
_cell_angle_alpha 96.94
_cell_angle_beta 98.05
_cell_angle_gamma 96.67
loop_
_atom_site_label
_atom_site_type_symbol
_atom_site_fract_x
_atom_site_fract_y
_atom_site_fract_z
_atom_site_occupancy
Mg1 Mg 0.0000 0.0000 0.0000 1
Au1 Au 0.0158 0.6148 0.5329 1
Au2 Au 0.9313 0.1843 0.3729 1
Au3 Au 0.9640 0.5969 0.0337 1
Au4 Au 0.9935 0.0503 0.7477 1
Se1 Se 0.2005 0.4620 0.2786 1
Se2 Se 0.2150 0.9103 0.4624 1
Se3 Se 0.7051 0.7292 0.7904 1
Se4 Se 0.8373 0.3290 0.6439 1
Cl1 Cl 0.1830 0.4061 0.9934 1
Cl2 Cl 0.2061 0.1034 0.2261 1
Cl3 Cl 0.5268 0.0894 0.9941 1
Cl4 Cl 0.7489 0.7936 0.0806 1
O1 O 0.0018 0.5821 0.2116 1
O2 O 0.1071 0.2316 0.6898 1
O3 O 0.1144 0.4585 0.6239 1
O4 O 0.3077 0.5537 0.4216 1
O5 O 0.3366 0.9241 0.6100 1
O6 O 0.6765 0.2564 0.4958 1
O7 O 0.7158 0.6787 0.6414 1
O8 O 0.8787 0.3552 0.2923 1
O9 O 0.9172 0.0168 0.4531 1
O10 O 0.9278 0.6152 0.8547 1
O11 O 0.9328 0.7651 0.4354 1
O12 O 0.9631 0.8789 0.8375 1
```